Theoretical powder diffraction line list of La7Hg2Ge2 for copper Kα, from DFT lattice parameters and positions (PBE).
Lines closer than 0.1° are merged.

Peak list (12 most intense, 2θ from 5° to 70°, most intense first)
| two_theta | I/Imax | (hkl) |
| --- | --- | --- |
| 35.8 | 100 | 2 2 2 |
| 31.0 | 82 | 0 4 0 |
| 27.6 | 69 | 1 1 2 |
| 24.1 | 54 | 2 0 1 |
| 35.4 | 50 | 1 3 2 |
| 26.0 | 45 | 2 2 0 |
| 28.9 | 35 | 0 2 2 |
| 34.7 | 30 | 3 1 1 |
| 49.7 | 28 | 0 0 4 |
| 41.3 | 27 | 3 3 1 |
| 39.7 | 26 | 2 4 1 |
| 32.4 | 22 | 3 1 0 |

Structural model:
abc: 8.5430 11.5232 7.3358
angles: 90.00 90.00 90.00
Space group Cmmm (No. 65)
Asymmetric unit:
La: 0.0000 0.0000 0.0000 [2 per cell]
La: 0.0000 0.5000 0.2519 [4 per cell]
La: 0.2500 0.2500 0.2846 [8 per cell]
Hg: 0.1687 0.0000 0.5000 [4 per cell]
Ge: 0.0000 0.2787 0.0000 [4 per cell]